Calculated powder XRD pattern of La3Tb5Ho for Cu Kα, from a cell relaxed with GGA-PBE.

Top 10 peaks for 15° ≤ 2θ ≤ 90°, low angle first:
| 2theta | I/Imax |
| --- | --- |
| 21.5 | 21 |
| 27.7 | 34 |
| 28.4 | 25 |
| 30.2 | 100 |
| 30.9 | 11 |
| 32.1 | 19 |
| 34.7 | 17 |
| 36.9 | 19 |
| 39.4 | 13 |
| 43.5 | 11 |

Crystal structure
```
data_La3Tb5Ho
_chemical_formula_sum 'La12 Tb20 Ho4'
_symmetry_space_group_name_H-M 'C 1 2/m 1'
_symmetry_Int_Tables_number 12
_cell_length_a 12.429
_cell_length_b 8.262
_cell_length_c 12.765
_cell_angle_alpha 90.00
_cell_angle_beta 99.96
_cell_angle_gamma 90.00
loop_
_symmetry_equiv_pos_as_xyz
'x,y,z'
'-x,-y,-z'
'-x,y,-z'
'x,-y,z'
'x+1/2,y+1/2,z'
'-x+1/2,-y+1/2,-z'
'-x+1/2,y+1/2,-z'
'x+1/2,-y+1/2,z'
loop_
_atom_site_label
_atom_site_type_symbol
_atom_site_fract_x
_atom_site_fract_y
_atom_site_fract_z
La1 La 0.000 0.000 0.000
La2 La 0.000 0.000 0.500
La3 La 0.120 0.500 0.216
La4 La 0.232 0.500 0.467
Tb1 Tb 0.000 0.320 0.000
Tb2 Tb 0.055 0.500 0.624
Tb3 Tb 0.131 0.197 0.780
Tb4 Tb 0.241 0.500 0.976
Ho1 Ho 0.141 0.000 0.262
```